For Mn6Bi4O19, the PBE+U geometry in Alexandria gives the calculated X-ray diffraction stick pattern in this record (CuKα).
Peak positions follow from Bragg's law for the DFT cell and can differ from measured ones.

Cell and atoms:
Unit cell a=8.773 b=8.773 c=8.773 alpha=90.00 beta=90.00 gamma=90.00
Space group I23 (No. 197)
Asymmetric unit:
Mn: 0.000 0.160 0.500 (multiplicity 12)
Bi: 0.164 0.164 0.164 (multiplicity 8)
O: 0.000 0.000 0.000 (multiplicity 2)
O: 0.000 0.000 0.350 (multiplicity 12)
O: 0.033 0.285 0.675 (multiplicity 24)

Principal peaks in the range 10 to 90 degrees two-theta, by angle:
Position (°2θ)  I (rel.)  h k l
24.9  1000  2 1 1
32.3  458  3 0 1
35.4  155  2 2 2
38.4  178  3 1 2
43.8  628  3 3 0
51.0  185  4 2 2
53.2  126  4 3 1
57.5  219  5 1 2
63.6  218  6 0 0
80.4  239  6 3 3